Diffraction record for V4Ge13O36. The X-ray powder pattern is theoretical, not measured: it uses a cell relaxed with GGA+U and Cu Kα (λ = 1.5418 Å).

Top 8 peaks for 2θ from 10° to 80°, by angle:
2θ/deg	I/Imax
27.82	85.3
27.99	85.7
36.85	100.0
39.88	21.8
55.31	50.0
55.51	51.5
70.36	16.3
70.48	18.3

Crystal structure
abc: 4.517 2.897 40.732
angles: 90.00 90.35 90.00
Space group P2/m (No. 10)
Unique sites:
V: 0.014 0.000 0.390 (multiplicity 2)
V: 0.473 0.500 0.452 (multiplicity 2)
Ge: 0.000 0.000 0.056 (multiplicity 2)
Ge: 0.000 0.000 0.167 (multiplicity 2)
Ge: 0.002 0.000 0.277 (multiplicity 2)
Ge: 0.493 0.500 0.668 (multiplicity 2)
Ge: 0.500 0.500 0.000 (multiplicity 1)
Ge: 0.500 0.500 0.111 (multiplicity 2)
Ge: 0.500 0.500 0.222 (multiplicity 2)
O: 0.183 0.500 0.592 (multiplicity 2)
O: 0.190 0.500 0.702 (multiplicity 2)
O: 0.192 0.500 0.034 (multiplicity 2)
O: 0.192 0.500 0.145 (multiplicity 2)
O: 0.192 0.500 0.256 (multiplicity 2)
O: 0.192 0.500 0.812 (multiplicity 2)
O: 0.192 0.500 0.923 (multiplicity 2)
O: 0.196 0.500 0.477 (multiplicity 2)
O: 0.201 0.500 0.366 (multiplicity 2)
O: 0.294 0.000 0.421 (multiplicity 2)
O: 0.305 0.000 0.646 (multiplicity 2)
O: 0.308 0.000 0.090 (multiplicity 2)
O: 0.308 0.000 0.201 (multiplicity 2)
O: 0.308 0.000 0.868 (multiplicity 2)
O: 0.308 0.000 0.979 (multiplicity 2)
O: 0.309 0.000 0.311 (multiplicity 2)
O: 0.309 0.000 0.757 (multiplicity 2)
O: 0.317 0.000 0.535 (multiplicity 2)